Structure and computed XRD peak list of ZrZn16 (a structure optimized by DFT (PBE); copper Kα).

Structural model:
a = 6.983 Å, b = 6.983 Å, c = 11.827 Å
α = 90.00°, β = 90.00°, γ = 112.32°
Atoms (fractional coordinates):
Zr1 0.047 0.953 0.750
Zr2 0.953 0.047 0.250
Zn1 0.000 0.000 0.000
Zn2 0.000 0.000 0.500
Zn3 0.017 0.645 0.569
Zn4 0.017 0.645 0.931
Zn5 0.178 0.822 0.140
Zn6 0.178 0.822 0.360
Zn7 0.195 0.481 0.250
Zn8 0.244 0.352 0.634
Zn9 0.244 0.352 0.866
Zn10 0.292 0.708 0.750
Zn11 0.352 0.244 0.134
Zn12 0.352 0.244 0.366
Zn13 0.355 0.983 0.569
Zn14 0.355 0.983 0.931
Zn15 0.379 0.621 0.031
Zn16 0.379 0.621 0.469
Zn17 0.481 0.195 0.750
Zn18 0.519 0.805 0.250
Zn19 0.621 0.379 0.531
Zn20 0.621 0.379 0.969
Zn21 0.645 0.017 0.069
Zn22 0.645 0.017 0.431
Zn23 0.648 0.756 0.634
Zn24 0.648 0.756 0.866
Zn25 0.708 0.292 0.250
Zn26 0.756 0.648 0.134
Zn27 0.756 0.648 0.366
Zn28 0.805 0.519 0.750
Zn29 0.822 0.178 0.640
Zn30 0.822 0.178 0.860
Zn31 0.983 0.355 0.069
Zn32 0.983 0.355 0.431

The 10 most intense peaks (10 to 90 degrees two-theta), in order of falling intensity:
| Position (°2θ) | I/Imax |
| --- | --- |
| 42.46 | 100 |
| 39.51 | 87 |
| 40.10 | 80 |
| 41.22 | 71 |
| 41.37 | 61 |
| 38.54 | 34 |
| 40.59 | 30 |
| 72.97 | 29 |
| 44.80 | 29 |
| 38.71 | 29 |